For ScAlGePt, a cell relaxed with PBE gives the theoretical X-ray diffraction stick pattern in this record (Cu Kα (λ = 1.5418 Å)).

Largest 12 diffraction maxima, sorted by position, 2θ from 10° to 90°:
hkl 2 0 0, d = 4.952 Å, I = 82; hkl 1 1 -1, d = 3.361 Å, I = 40; hkl 1 1 1, d = 3.337 Å, I = 100; hkl 0 0 2, d = 3.316 Å, I = 37; hkl 1 1 -2, d = 2.531 Å, I = 38; hkl 1 1 2, d = 2.511 Å, I = 35; hkl 3 1 -1, d = 2.434 Å, I = 40; hkl 3 1 1, d = 2.407 Å, I = 64; hkl 4 0 -1, d = 2.335 Å, I = 43; hkl 0 2 0, d = 2.109 Å, I = 54; hkl 3 1 2, d = 2.030 Å, I = 44; hkl 1 1 -3, d = 1.927 Å, I = 45

Structure:
```
ScAlGePt
1.0
9.906 0.000 0.000
0.000 4.218 0.000
-0.138 0.000 6.631
Sc Al Ge Pt
4 4 4 4
Cartesian
0.722 0.000 1.655 Sc
4.093 2.109 4.976 Sc
5.675 2.109 1.655 Sc
9.046 0.000 4.976 Sc
1.218 2.109 6.301 Al
3.597 0.000 0.330 Al
6.171 0.000 6.301 Al
8.550 2.109 0.330 Al
1.156 2.109 3.612 Ge
3.659 0.000 3.020 Ge
6.109 0.000 3.612 Ge
8.611 2.109 3.020 Ge
1.932 0.000 4.934 Pt
2.882 2.109 1.698 Pt
6.885 2.109 4.934 Pt
7.835 0.000 1.698 Pt
```